For Mn5SiC, a DFT-relaxed cell (PBE, the Materials Project) gives the calculated X-ray powder pattern in this record (λ = 1.5418 Å (Cu Kα)).
Kinematic intensities with the Lorentz-polarization factor, no thermal factor.

Crystal structure
```
Mn5SiC
1.0
5.0413 -3.8985 0.0000
5.0413 3.8985 0.0000
0.0000 0.0000 7.5048
Mn Si C
20 4 4
Direct
0.0110 0.6869 0.1976 Mn
0.0156 0.6833 0.8252 Mn
0.0404 0.9596 0.5000 Mn
0.2052 0.5604 0.5140 Mn
0.3131 0.9890 0.1976 Mn
0.3167 0.9844 0.8252 Mn
0.3609 0.6391 0.0134 Mn
0.3719 0.3782 0.2628 Mn
0.3782 0.3719 0.7628 Mn
0.4396 0.7948 0.5140 Mn
0.5604 0.2052 0.0140 Mn
0.6218 0.6281 0.2628 Mn
0.6281 0.6218 0.7628 Mn
0.6391 0.3609 0.5134 Mn
0.6833 0.0156 0.3252 Mn
0.6869 0.0110 0.6976 Mn
0.7948 0.4396 0.0140 Mn
0.9596 0.0404 0.0000 Mn
0.9844 0.3167 0.3252 Mn
0.9890 0.3131 0.6976 Mn
0.1642 0.3265 0.0116 Si
0.3265 0.1642 0.5116 Si
0.6735 0.8358 0.0116 Si
0.8358 0.6735 0.5116 Si
0.2982 0.7018 0.2977 C
0.3072 0.6928 0.7309 C
0.6928 0.3072 0.2309 C
0.7018 0.2982 0.7977 C
```

Peak list (10 most intense, 2θ from 5° to 70°, sorted by position)
| 2θ (°) | I (rel.) |
| --- | --- |
| 38.8 | 19 |
| 43.0 | 19 |
| 43.3 | 100 |
| 44.0 | 36 |
| 44.5 | 49 |
| 46.7 | 41 |
| 48.2 | 23 |
| 48.5 | 19 |
| 49.4 | 19 |
| 50.6 | 20 |